(1)
Diffraction record for CsFe2P5O16. The powder diffraction line list is calculated, not measured: it uses a structure optimized by DFT (GGA+U) and Cu Kα, 1.54184 Å.
Intensities are scaled so that the largest is 100.

Structure:
Unit cell a=7.645 b=9.546 c=10.467 alpha=90.00 beta=111.61 gamma=90.00
Atoms (fractional coordinates):
Cs 0.000 0.198 0.000
Cs 0.000 0.802 0.500
Fe 0.388 0.142 0.794
Fe 0.388 0.858 0.294
Fe 0.942 0.368 0.399
Fe 0.942 0.632 0.899
P 0.135 0.418 0.734
P 0.135 0.582 0.234
P 0.291 0.125 0.460
P 0.291 0.875 0.960
P 0.528 0.459 0.772
P 0.528 0.541 0.272
P 0.583 0.296 0.135
P 0.583 0.704 0.635
P 0.622 0.140 0.386
P 0.622 0.860 0.886
O 0.027 0.473 0.819
O 0.027 0.527 0.319
O 0.054 0.458 0.583
O 0.054 0.542 0.083
O 0.161 0.250 0.411
O 0.161 0.750 0.911
O 0.167 0.260 0.757
O 0.167 0.740 0.257
O 0.244 0.007 0.353
O 0.244 0.993 0.853
O 0.312 0.071 0.602
O 0.312 0.929 0.102
O 0.341 0.496 0.799
O 0.341 0.504 0.299
O 0.490 0.235 0.996
O 0.490 0.765 0.496
O 0.498 0.452 0.133
O 0.498 0.548 0.633
O 0.501 0.182 0.474
O 0.501 0.818 0.974
O 0.507 0.215 0.240
O 0.507 0.785 0.740
O 0.528 0.304 0.742
O 0.528 0.696 0.242
O 0.617 0.017 0.862
O 0.617 0.983 0.362
O 0.697 0.482 0.384
O 0.697 0.518 0.884
O 0.795 0.300 0.198
O 0.795 0.700 0.698
O 0.816 0.202 0.452
O 0.816 0.798 0.952

Largest 10 diffraction maxima, by angle, 2θ from 10° to 90°:
2θ = 17.90°, intensity 69; 2θ = 18.23°, intensity 43; 2θ = 20.24°, intensity 75; 2θ = 20.49°, intensity 39; 2θ = 22.42°, intensity 76; 2θ = 25.07°, intensity 100; 2θ = 25.96°, intensity 47; 2θ = 27.34°, intensity 65; 2θ = 29.07°, intensity 40; 2θ = 29.95°, intensity 74



(2)
Diffraction record for Li4Cr3Fe3Te2O16. The powder diffraction line list is calculated, not measured: it uses a structure optimized by DFT (GGA+U) and Cu Kα, 1.54184 Å.
Intensities are scaled so that the largest is 100.

Structure:
Unit cell a=6.017 b=6.017 c=9.826 alpha=90.52 beta=90.52 gamma=59.92
Atoms (fractional coordinates):
Li 0.000 0.000 0.000
Li 0.001 0.001 0.501
Li 0.335 0.335 0.582
Li 0.668 0.668 0.085
Cr 0.170 0.661 0.277
Cr 0.661 0.170 0.277
Cr 0.830 0.830 0.777
Fe 0.169 0.169 0.276
Fe 0.338 0.831 0.776
Fe 0.831 0.338 0.776
Te 0.334 0.334 0.005
Te 0.667 0.667 0.503
O 0.000 0.000 0.685
O 0.001 0.001 0.184
O 0.036 0.487 0.149
O 0.164 0.164 0.897
O 0.164 0.677 0.893
O 0.323 0.841 0.395
O 0.333 0.333 0.380
O 0.485 0.485 0.155
O 0.487 0.036 0.149
O 0.520 0.520 0.643
O 0.521 0.966 0.649
O 0.666 0.666 0.881
O 0.677 0.164 0.893
O 0.841 0.323 0.395
O 0.842 0.842 0.392
O 0.966 0.521 0.649

Largest 10 diffraction maxima, by angle, 2θ from 10° to 90°:
2θ = 19.23°, intensity 96; 2θ = 19.34°, intensity 100; 2θ = 24.82°, intensity 32; 2θ = 25.00°, intensity 31; 2θ = 32.18°, intensity 36; 2θ = 32.39°, intensity 36; 2θ = 34.83°, intensity 34; 2θ = 35.00°, intensity 34; 2θ = 35.12°, intensity 33; 2θ = 61.69°, intensity 47



(3)
Diffraction record for NaCoH3C3O6. The powder diffraction line list is calculated, not measured: it uses a structure optimized by DFT (GGA+U) and Cu Kα, 1.54184 Å.
Intensities are scaled so that the largest is 100.

Structure:
Unit cell a=7.886 b=7.886 c=9.072 alpha=124.92 beta=124.92 gamma=70.59
Atoms (fractional coordinates):
Na 0.089 0.089 0.433
Na 0.911 0.911 0.567
Co 0.591 0.228 0.748
Co 0.772 0.409 0.252
H 0.086 0.914 0.000
H 0.319 0.658 0.239
H 0.342 0.681 0.761
H 0.358 0.175 0.033
H 0.558 0.442 0.500
H 0.825 0.642 0.967
C 0.238 0.545 0.640
C 0.355 0.169 0.906
C 0.455 0.762 0.360
C 0.680 0.320 0.500
C 0.831 0.645 0.094
C 0.964 0.036 0.000
O 0.053 0.580 0.524
O 0.202 0.090 0.729
O 0.311 0.371 0.630
O 0.420 0.947 0.476
O 0.513 0.245 0.956
O 0.629 0.689 0.370
O 0.712 0.222 0.586
O 0.755 0.487 0.044
O 0.778 0.288 0.414
O 0.854 0.049 0.837
O 0.910 0.798 0.271
O 0.951 0.146 0.163

Largest 10 diffraction maxima, by angle, 2θ from 10° to 90°:
2θ = 13.73°, intensity 100; 2θ = 19.52°, intensity 12; 2θ = 23.80°, intensity 6; 2θ = 30.84°, intensity 12; 2θ = 31.02°, intensity 12; 2θ = 31.17°, intensity 14; 2θ = 36.87°, intensity 8; 2θ = 37.00°, intensity 5; 2θ = 41.78°, intensity 8; 2θ = 42.07°, intensity 7



(4)
Diffraction record for MgMn5CuO12. The powder diffraction line list is calculated, not measured: it uses a structure optimized by DFT (GGA+U) and Cu Kα, 1.54184 Å.
Intensities are scaled so that the largest is 100.

Structure:
Unit cell a=5.065 b=5.071 c=9.939 alpha=85.92 beta=82.75 gamma=61.03
Atoms (fractional coordinates):
Mg 0.000 0.000 0.000
Mn 0.072 0.006 0.728
Mn 0.249 0.680 0.261
Mn 0.401 0.339 0.750
Mn 0.585 0.016 0.251
Mn 0.916 0.348 0.251
Cu 0.733 0.672 0.752
O 0.056 0.306 0.850
O 0.104 0.661 0.646
O 0.232 0.333 0.347
O 0.262 0.017 0.149
O 0.343 0.691 0.850
O 0.427 0.019 0.647
O 0.574 0.675 0.347
O 0.653 0.309 0.137
O 0.727 0.015 0.849
O 0.747 0.343 0.647
O 0.853 0.052 0.355
O 0.943 0.697 0.149

Largest 10 diffraction maxima, by angle, 2θ from 10° to 90°:
2θ = 17.99°, intensity 100; 2θ = 35.63°, intensity 9; 2θ = 35.75°, intensity 9; 2θ = 36.62°, intensity 8; 2θ = 38.09°, intensity 9; 2θ = 42.41°, intensity 11; 2θ = 43.52°, intensity 16; 2θ = 46.01°, intensity 8; 2θ = 46.93°, intensity 9; 2θ = 48.35°, intensity 8



(5)
Diffraction record for ZnFe2O4. The powder diffraction line list is calculated, not measured: it uses a structure optimized by DFT (GGA+U) and Cu Kα, 1.54184 Å.
Intensities are scaled so that the largest is 100.

Structure:
Unit cell a=5.999 b=5.999 c=5.989 alpha=119.93 beta=119.93 gamma=60.08
Atoms (fractional coordinates):
Zn 0.127 0.127 0.373
Zn 0.873 0.873 0.627
Fe 0.000 0.500 0.000
Fe 0.500 0.000 0.000
Fe 0.500 0.500 0.000
Fe 0.500 0.500 0.500
O 0.262 0.262 0.240
O 0.264 0.264 0.783
O 0.265 0.717 0.234
O 0.283 0.735 0.766
O 0.717 0.265 0.234
O 0.735 0.283 0.766
O 0.736 0.736 0.217
O 0.738 0.738 0.760

Largest 10 diffraction maxima, by angle, 2θ from 10° to 90°:
2θ = 29.79°, intensity 36; 2θ = 35.08°, intensity 100; 2θ = 36.70°, intensity 8; 2θ = 42.63°, intensity 14; 2θ = 52.84°, intensity 9; 2θ = 56.34°, intensity 29; 2θ = 56.40°, intensity 8; 2θ = 61.84°, intensity 36; 2θ = 61.97°, intensity 7; 2θ = 88.45°, intensity 9



(6)
Diffraction record for Sr2ZrCoO6. The powder diffraction line list is calculated, not measured: it uses a structure optimized by DFT (GGA+U) and Cu Kα, 1.54184 Å.
Intensities are scaled so that the largest is 100.

Structure:
Unit cell a=5.618 b=5.618 c=5.618 alpha=60.00 beta=60.00 gamma=60.00
Atoms (fractional coordinates):
Sr 0.250 0.250 0.250
Sr 0.750 0.750 0.750
Zr 0.000 0.000 0.000
Co 0.500 0.500 0.500
O 0.264 0.264 0.736
O 0.264 0.736 0.264
O 0.264 0.736 0.736
O 0.736 0.264 0.264
O 0.736 0.264 0.736
O 0.736 0.736 0.264

Largest 10 diffraction maxima, by angle, 2θ from 10° to 90°:
2θ = 19.35°, intensity 1; 2θ = 31.86°, intensity 100; 2θ = 37.55°, intensity 2; 2θ = 39.28°, intensity 6; 2θ = 45.68°, intensity 36; 2θ = 56.77°, intensity 38; 2θ = 66.59°, intensity 21; 2θ = 75.72°, intensity 17; 2θ = 80.13°, intensity 1; 2θ = 84.49°, intensity 7